For CsTbCoF6, a structure optimized by DFT (GGA+U) gives the calculated XRD peak list in this record (a wavelength of 1.5418 Å).
Intensities are scaled so that the largest is 100.

Crystal structure
```
18
Lattice="-3.769 3.914 5.220 3.769 -3.914 5.220 3.769 3.914 -5.220" Properties=species:S:1:pos:R:3 pbc="T T T"
Cs 0.000 1.957 1.008
Cs 3.769 1.957 4.212
Tb 3.769 0.000 0.000
Tb 0.000 0.000 5.220
Co 1.885 1.957 -2.610
Co 1.885 -1.957 2.610
F 1.870 -0.446 1.213
F 5.668 -0.446 1.213
F 3.769 1.957 -1.756
F 1.870 3.468 -1.213
F 1.899 -0.446 4.007
F 3.769 1.957 1.078
F 0.000 1.957 4.142
F 1.870 4.360 1.213
F 1.899 0.446 6.433
F 0.000 1.957 6.976
F -1.899 4.360 4.007
F 1.899 4.360 4.007
```

Top 10 peaks for 2θ from 5° to 70°, by intensity:
| Position (°2θ) | I (rel.) |
| --- | --- |
| 27.05 | 100 |
| 48.35 | 75 |
| 23.63 | 56 |
| 29.23 | 46 |
| 27.62 | 39 |
| 43.68 | 28 |
| 28.06 | 28 |
| 16.99 | 28 |
| 28.50 | 27 |
| 14.49 | 23 |